Record 1
Calculated XRD peak list
Compound: Pr6TlCd6
Radiation: Cu Kα (weighted mean of Kα1 and Kα2)
Structure: a structure optimized by DFT (GGA-PBE)

Largest 12 diffraction maxima, sorted by position, 10 to 90 degrees two-theta:
d = 3.130 Å, 28.5 deg, rel. 48.0; d = 3.111 Å, 28.7 deg, rel. 61.7; d = 2.884 Å, 31.0 deg, rel. 40.4; d = 2.738 Å, 32.7 deg, rel. 100.0; d = 2.694 Å, 33.3 deg, rel. 49.5; d = 2.542 Å, 35.3 deg, rel. 25.7; d = 2.441 Å, 36.8 deg, rel. 75.6; d = 1.715 Å, 53.4 deg, rel. 24.7; d = 1.635 Å, 56.3 deg, rel. 44.3; d = 1.555 Å, 59.4 deg, rel. 34.9; d = 1.369 Å, 68.5 deg, rel. 23.8; d = 1.312 Å, 72.0 deg, rel. 31.0

Atomic structure:
Cell: 6.2216 6.2216 11.5343 Å, 90.00 90.00 120.00°
Space group P6/mmm (No. 191)
Unique sites:
Pr 0.0000 0.0000 0.1602 (multiplicity 2)
Pr 0.3333 0.6667 0.0000 (multiplicity 2)
Pr 0.3333 0.6667 0.5000 (multiplicity 2)
Tl 0.0000 0.0000 0.5000 (multiplicity 1)
Cd 0.0000 0.5000 0.2561 (multiplicity 6)

Record 2
Calculated XRD peak list
Compound: Pr8Tl5Cd
Radiation: Cu Kα (weighted mean of Kα1 and Kα2)
Structure: a structure optimized by DFT (GGA-PBE)

Largest 12 diffraction maxima, sorted by position, 10 to 90 degrees two-theta:
d = 3.954 Å, 22.5 deg, rel. 11.0; d = 3.063 Å, 29.2 deg, rel. 100.0; d = 2.588 Å, 34.7 deg, rel. 69.2; d = 2.166 Å, 41.7 deg, rel. 18.5; d = 2.065 Å, 43.8 deg, rel. 13.0; d = 1.977 Å, 45.9 deg, rel. 14.3; d = 1.899 Å, 47.9 deg, rel. 18.6; d = 1.571 Å, 58.8 deg, rel. 30.2; d = 1.531 Å, 60.5 deg, rel. 11.4; d = 1.494 Å, 62.1 deg, rel. 15.3; d = 1.318 Å, 71.6 deg, rel. 18.5; d = 1.126 Å, 86.4 deg, rel. 10.5

Atomic structure:
Cell: 9.6852 9.6852 9.6834 Å, 90.00 90.00 90.00°
Space group I-4 (No. 82)
Unique sites:
Pr 0.0727 0.3258 0.0495 (multiplicity 8)
Pr 0.0768 0.1782 0.6968 (multiplicity 8)
Tl 0.0000 0.5000 0.7500 (multiplicity 2)
Tl 0.1256 0.2491 0.3725 (multiplicity 8)
Cd 0.0000 0.0000 0.0000 (multiplicity 2)

Record 3
Calculated XRD peak list
Compound: PrTm2Tl2Cd2
Radiation: Cu Kα (weighted mean of Kα1 and Kα2)
Structure: a structure optimized by DFT (GGA-PBE)

Largest 12 diffraction maxima, sorted by position, 10 to 90 degrees two-theta:
d = 2.840 Å, 31.5 deg, rel. 99.3; d = 2.618 Å, 34.3 deg, rel. 21.0; d = 2.521 Å, 35.6 deg, rel. 100.0; d = 2.245 Å, 40.2 deg, rel. 9.9; d = 1.885 Å, 48.3 deg, rel. 30.3; d = 1.816 Å, 50.2 deg, rel. 7.4; d = 1.510 Å, 61.4 deg, rel. 29.3; d = 1.473 Å, 63.1 deg, rel. 7.6; d = 1.455 Å, 64.0 deg, rel. 18.2; d = 1.435 Å, 65.0 deg, rel. 12.7; d = 1.260 Å, 75.4 deg, rel. 11.4; d = 1.152 Å, 84.0 deg, rel. 12.3

Atomic structure:
Cell: 5.0419 5.0419 26.1676 Å, 90.00 90.00 120.00°
Space group R-3m (No. 166, hexagonal axes)
Unique sites:
Pr 0.0000 0.0000 0.0000 (multiplicity 3)
Tm 0.0000 0.0000 0.1350 (multiplicity 6)
Tl 0.0000 0.0000 0.2661 (multiplicity 6)
Cd 0.0000 0.0000 0.4358 (multiplicity 6)

Record 4
Calculated XRD peak list
Compound: PrTm2Cd
Radiation: Cu Kα (weighted mean of Kα1 and Kα2)
Structure: a structure optimized by DFT (GGA-PBE)

Largest 12 diffraction maxima, sorted by position, 10 to 90 degrees two-theta:
d = 3.129 Å, 28.5 deg, rel. 7.3; d = 2.848 Å, 31.4 deg, rel. 23.2; d = 2.761 Å, 32.4 deg, rel. 27.3; d = 2.733 Å, 32.8 deg, rel. 100.0; d = 1.982 Å, 45.8 deg, rel. 16.4; d = 1.886 Å, 48.2 deg, rel. 9.0; d = 1.621 Å, 56.8 deg, rel. 12.4; d = 1.589 Å, 58.1 deg, rel. 19.4; d = 1.573 Å, 58.7 deg, rel. 7.8; d = 1.558 Å, 59.3 deg, rel. 9.6; d = 1.367 Å, 68.7 deg, rel. 9.7; d = 1.199 Å, 80.0 deg, rel. 9.2

Atomic structure:
Cell: 3.7727 5.5221 11.3911 Å, 90.00 90.00 90.00°
Space group Immm (No. 71)
Unique sites:
Pr 0.0000 0.0000 0.0000 (multiplicity 2)
Tm 0.0000 0.5000 0.2241 (multiplicity 4)
Cd 0.0000 0.0000 0.5000 (multiplicity 2)

Record 5
Calculated XRD peak list
Compound: Pr3Tm2Cd3
Radiation: Cu Kα (weighted mean of Kα1 and Kα2)
Structure: a structure optimized by DFT (GGA-PBE)

Largest 12 diffraction maxima, sorted by position, 10 to 90 degrees two-theta:
d = 2.830 Å, 31.6 deg, rel. 24.5; d = 2.770 Å, 32.3 deg, rel. 27.3; d = 2.724 Å, 32.9 deg, rel. 100.0; d = 1.980 Å, 45.8 deg, rel. 17.4; d = 1.877 Å, 48.5 deg, rel. 8.7; d = 1.613 Å, 57.1 deg, rel. 14.6; d = 1.590 Å, 58.0 deg, rel. 19.4; d = 1.564 Å, 59.1 deg, rel. 8.1; d = 1.554 Å, 59.5 deg, rel. 9.4; d = 1.362 Å, 68.9 deg, rel. 10.1; d = 1.245 Å, 76.5 deg, rel. 10.8; d = 1.193 Å, 80.5 deg, rel. 7.5

Atomic structure:
Cell: 3.7542 5.5403 22.6398 Å, 90.00 90.00 90.00°
Space group Immm (No. 71)
Unique sites:
Pr 0.0000 0.0000 0.0000 (multiplicity 2)
Pr 0.0000 0.5000 0.1254 (multiplicity 4)
Tm 0.0000 0.0000 0.2354 (multiplicity 4)
Cd 0.0000 0.0000 0.5000 (multiplicity 2)
Cd 0.0000 0.5000 0.3770 (multiplicity 4)

Record 6
Calculated XRD peak list
Compound: Pr5Tm2Cd
Radiation: Cu Kα (weighted mean of Kα1 and Kα2)
Structure: a structure optimized by DFT (GGA-PBE)

Largest 12 diffraction maxima, sorted by position, 10 to 90 degrees two-theta:
d = 3.007 Å, 29.7 deg, rel. 17.1; d = 2.950 Å, 30.3 deg, rel. 66.0; d = 2.894 Å, 30.9 deg, rel. 55.9; d = 2.813 Å, 31.8 deg, rel. 100.0; d = 2.739 Å, 32.7 deg, rel. 66.0; d = 2.616 Å, 34.3 deg, rel. 27.4; d = 1.989 Å, 45.6 deg, rel. 43.5; d = 1.779 Å, 51.4 deg, rel. 16.0; d = 1.662 Å, 55.3 deg, rel. 17.1; d = 1.572 Å, 58.7 deg, rel. 35.8; d = 1.515 Å, 61.2 deg, rel. 15.8; d = 1.505 Å, 61.6 deg, rel. 15.0

Atomic structure:
Cell: 13.3489 11.5776 3.5573 Å, 90.00 105.34 90.00°
Space group C2/m (No. 12)
Unique sites:
Pr 0.0000 0.0000 0.0000 (multiplicity 2)
Pr 0.1329 0.2265 0.6330 (multiplicity 8)
Tm 0.2222 0.5000 0.7233 (multiplicity 4)
Cd 0.0000 0.5000 0.0000 (multiplicity 2)